Starting from DFT lattice parameters and positions (PBE+U), the powder diffraction line list of AcBeFeO4 was computed for λ = 1.5418 Å (Cu Kα).
No peak broadening, texture or thermal motion is included.

Structural model:
```
AcBeFeO4
1.0
-2.6445 2.6445 3.6254
2.6445 -2.6445 3.6254
2.6445 2.6445 -3.6254
Ac Be Fe O
1 1 1 4
Direct
0.0000 0.0000 0.0000
0.7500 0.2500 0.5000
0.5000 0.5000 0.0000
0.0933 0.2165 0.5913
0.4981 0.9067 0.1232
0.6252 0.5019 0.4087
0.7835 0.3748 0.8768
```

Most intense lines, 2θ from 15° to 90°, by angle:
two_theta  intensity
20.79  841
23.79  1000
24.55  430
33.90  341
34.45  920
40.10  451
41.06  212
42.30  492
54.89  232
61.01  338